BaTePd: simulated powder XRD pattern (a wavelength of 1.5418 Å), based on a DFT-relaxed cell (GGA-PBE, Alexandria).

Largest 10 diffraction maxima, in order of rising 2θ, 5° ≤ 2θ ≤ 70°:
2θ/deg  d/Å  I/Imax
19.7  4.513  11
25.0  3.564  21
29.0  3.077  100
33.3  2.691  63
38.4  2.347  51
43.1  2.099  30
51.7  1.769  35
55.4  1.660  17
59.0  1.564  24
63.7  1.461  21

Structure:
```
BaTePd
1.0
4.6939 0.0000 0.0000
0.0000 4.6939 0.0000
0.0000 0.0000 16.4250
Ba Te Pd
4 4 4
direct
0.0000 0.0000 0.0000
0.0000 0.5000 0.2500
0.5000 0.0000 0.7500
0.5000 0.5000 0.5000
0.0000 0.0000 0.4161
0.0000 0.5000 0.6661
0.5000 0.0000 0.1661
0.5000 0.5000 0.9161
0.0000 0.0000 0.5828
0.0000 0.5000 0.8328
0.5000 0.0000 0.3328
0.5000 0.5000 0.0828
```